No. 1
For Tm6AgRu, a PBE-relaxed structure gives the simulated X-ray diffraction stick pattern in this record (Cu Kα, 1.54184 Å).
Lines closer than 0.1° are merged.

Most intense lines, 15 to 90 degrees two-theta, in order of falling intensity:
2θ/deg	Rel. int.
33.3	100.0
36.3	50.4
63.4	31.1
52.2	17.8
27.6	15.2
49.1	13.2
31.9	10.7
61.1	9.4
57.5	9.3
41.2	9.1

Atomic structure:
```
data_Tm6AgRu
_chemical_formula_sum 'Tm12 Ag2 Ru2'
_space_group_name_H-M_alt 'I 4/m m m'
_space_group_IT_number 139
_space_group_name_Hall '-I 4 2'
_cell_length_a 4.9525
_cell_length_b 4.9525
_cell_length_c 16.8398
_cell_angle_alpha 90.00
_cell_angle_beta 90.00
_cell_angle_gamma 90.00
loop_
_atom_site_label
_atom_site_type_symbol
_atom_site_fract_x
_atom_site_fract_y
_atom_site_fract_z
Tm1 Tm 0.0000 0.0000 0.2468
Tm2 Tm 0.0000 0.5000 0.0991
Ag1 Ag 0.0000 0.0000 0.5000
Ru1 Ru 0.0000 0.0000 0.0000
```

=====

No. 2
For Tm7Ag2Ru2, a PBE-relaxed structure gives the simulated X-ray diffraction stick pattern in this record (Cu Kα, 1.54184 Å).
Lines closer than 0.1° are merged.

Most intense lines, 15 to 90 degrees two-theta, in order of falling intensity:
2θ/deg	Rel. int.
38.6	100.0
28.4	60.8
33.7	60.4
38.0	51.6
29.3	46.0
26.2	32.0
30.7	20.9
63.8	19.9
46.7	19.6
52.5	19.5

Atomic structure:
```
data_Tm7Ag2Ru2
_chemical_formula_sum 'Tm14 Ag4 Ru4'
_space_group_name_H-M_alt 'C m m m'
_space_group_IT_number 65
_space_group_name_Hall '-C 2 2'
_cell_length_a 7.7861
_cell_length_b 10.6290
_cell_length_c 6.9762
_cell_angle_alpha 90.00
_cell_angle_beta 90.00
_cell_angle_gamma 90.00
loop_
_atom_site_label
_atom_site_type_symbol
_atom_site_fract_x
_atom_site_fract_y
_atom_site_fract_z
Tm1 Tm 0.0000 0.0000 0.0000
Tm2 Tm 0.0000 0.5000 0.2452
Tm3 Tm 0.2500 0.2500 0.2561
Ag1 Ag 0.1800 0.0000 0.5000
Ru1 Ru 0.0000 0.2929 0.0000
```

=====

No. 3
For AgRuW2, a PBE-relaxed structure gives the simulated X-ray diffraction stick pattern in this record (Cu Kα, 1.54184 Å).
Lines closer than 0.1° are merged.

Most intense lines, 15 to 90 degrees two-theta, in order of falling intensity:
2θ/deg	Rel. int.
40.0	100.0
41.3	23.4
40.2	23.4
74.4	17.3
59.0	15.1
72.9	14.4
86.4	10.5
56.9	9.1
72.7	8.7
19.8	8.5

Atomic structure:
```
data_AgRuW2
_chemical_formula_sum 'Ag2 Ru2 W4'
_space_group_name_H-M_alt 'I m m m'
_space_group_IT_number 71
_space_group_name_Hall '-I 2 2'
_cell_length_a 3.2381
_cell_length_b 4.3743
_cell_length_c 8.9753
_cell_angle_alpha 90.00
_cell_angle_beta 90.00
_cell_angle_gamma 90.00
loop_
_atom_site_label
_atom_site_type_symbol
_atom_site_fract_x
_atom_site_fract_y
_atom_site_fract_z
Ag1 Ag 0.0000 0.0000 0.0000
Ru1 Ru 0.0000 0.0000 0.5000
W1 W 0.0000 0.5000 0.2361
```

=====

No. 4
For AgS5, a PBE-relaxed structure gives the simulated X-ray diffraction stick pattern in this record (Cu Kα, 1.54184 Å).
Lines closer than 0.1° are merged.

Most intense lines, 15 to 90 degrees two-theta, in order of falling intensity:
2θ/deg	Rel. int.
22.5	100.0
34.5	41.4
39.0	37.1
25.4	31.9
15.5	22.6
22.8	14.7
45.9	12.7
18.4	11.1
56.2	10.1
51.3	9.8

Atomic structure:
```
data_AgS5
_chemical_formula_sum 'Ag1 S5'
_space_group_name_H-M_alt 'P 1'
_space_group_IT_number 1
_cell_length_a 4.8788
_cell_length_b 5.7412
_cell_length_c 5.7553
_cell_angle_alpha 86.85
_cell_angle_beta 83.44
_cell_angle_gamma 83.53
loop_
_space_group_symop_operation_xyz
'x,y,z'
loop_
_atom_site_label
_atom_site_type_symbol
_atom_site_fract_x
_atom_site_fract_y
_atom_site_fract_z
Ag1 Ag 0.0000 0.0000 0.0000
S1 S 0.2433 0.6073 0.6056
S2 S 0.3004 0.3508 0.3510
S3 S 0.5261 0.9145 0.9143
S4 S 0.6387 0.6650 0.6665
S5 S 0.9077 0.3048 0.3050
```